Structure and computed PXRD pattern of PmY5Tm3 (a cell relaxed with PBE; a wavelength of 1.5418 Å).
No peak broadening, texture or thermal motion is included.

a = 15.982 Å, b = 6.691 Å, c = 11.799 Å
α = 90.00°, β = 109.46°, γ = 90.00°
Space group C2/c (No. 15)
One atom of each set of equivalent atoms:
Pm  0.000  0.200  0.250 [4 per cell]
Y  0.000  0.305  0.750 [4 per cell]
Y  0.185  0.049  0.952 [8 per cell]
Y  0.218  0.304  0.263 [8 per cell]
Tm  0.000  0.000  0.000 [4 per cell]
Tm  0.105  0.448  0.512 [8 per cell]

Main lines, sorted by position (2θ = 10–90°):
| 2theta | d (Å) | I_rel | hkl |
| --- | --- | --- | --- |
| 11.75 | 7.534 | 22.7 | 2 0 0 |
| 23.67 | 3.758 | 24.9 | 4 0 -2 |
| 31.20 | 2.867 | 100.0 | 0 2 2 |
| 31.38 | 2.851 | 42.7 | 2 2 1 |
| 31.63 | 2.828 | 60.4 | 5 1 -2 |
| 32.19 | 2.781 | 55.0 | 0 0 4 |
| 32.59 | 2.748 | 40.9 | 5 1 0 |
| 32.86 | 2.726 | 23.3 | 4 0 2 |
| 35.93 | 2.500 | 22.4 | 4 2 0 |
| 38.43 | 2.343 | 23.7 | 5 1 -4 |